1.
For Li2La3Mg2Ag4, a structure optimized by DFT (GGA-PBE) gives the calculated PXRD pattern in this record (a wavelength of 1.5418 Å).
Intensities are scaled so that the largest is 100.

Atomic structure:
abc: 4.9686 4.9686 12.8934
angles: 90.00 90.00 120.00
Space group P-3m1 (No. 164)
Asymmetric unit:
Li1 0.3333 0.6667 0.1342
La1 0.0000 0.0000 0.0000
La2 0.0000 0.0000 0.2697
Mg1 0.3333 0.6667 0.5745
Ag1 0.3333 0.6667 0.3657
Ag2 0.3333 0.6667 0.8663

Top 12 peaks for 2θ from 10° to 80°, sorted by position:
2θ 20.65, I 19, hkl 0 0 3
2θ 24.88, I 81, hkl 0 1 2
2θ 29.37, I 25, hkl 1 0 3
2θ 34.77, I 100, hkl 0 1 4
2θ 36.16, I 99, hkl 1 1 0
2θ 44.39, I 17, hkl 2 0 2
2θ 47.27, I 23, hkl 1 0 6
2θ 51.04, I 33, hkl 2 0 4
2θ 58.53, I 14, hkl 1 2 2
2θ 64.14, I 32, hkl 1 2 4
2θ 65.02, I 17, hkl 3 0 0
2θ 69.52, I 14, hkl 1 1 8

***

2.
For LiLaZnAg2, a structure optimized by DFT (GGA-PBE) gives the calculated PXRD pattern in this record (a wavelength of 1.5418 Å).
Intensities are scaled so that the largest is 100.

Atomic structure:
abc: 4.117 4.117 12.862
angles: 90.00 90.00 90.00
Space group I-4m2 (No. 119)
Asymmetric unit:
Li1 0.000 0.000 0.000
La1 0.000 0.500 0.750
Zn1 0.000 0.000 0.500
Ag1 0.000 0.500 0.138

Top 12 peaks for 2θ from 10° to 80°, sorted by position:
2θ 13.77, I 21, hkl 0 0 2
2θ 22.68, I 17, hkl 1 0 1
2θ 30.09, I 100, hkl 1 0 3
2θ 30.71, I 56, hkl 1 1 0
2θ 33.80, I 67, hkl 1 1 2
2θ 41.39, I 75, hkl 1 0 5
2θ 41.86, I 14, hkl 1 1 4
2θ 43.99, I 49, hkl 2 0 0
2θ 54.22, I 37, hkl 2 1 3
2θ 61.99, I 44, hkl 2 1 5
2θ 63.96, I 15, hkl 2 2 0
2θ 74.95, I 15, hkl 2 0 8

***

3.
For LaMg2Ag4, a structure optimized by DFT (GGA-PBE) gives the calculated PXRD pattern in this record (a wavelength of 1.5418 Å).
Intensities are scaled so that the largest is 100.

Atomic structure:
abc: 7.238 7.238 5.680
angles: 90.00 90.00 90.00
Space group I4/mmm (No. 139)
Asymmetric unit:
La1 0.000 0.000 0.000
Mg1 0.000 0.500 0.250
Ag1 0.195 0.195 0.500

Top 12 peaks for 2θ from 10° to 80°, sorted by position:
2θ 17.33, I 29, hkl 1 1 0
2θ 31.50, I 53, hkl 0 0 2
2θ 31.82, I 93, hkl 2 1 1
2θ 35.07, I 57, hkl 2 2 0
2θ 36.17, I 29, hkl 1 1 2
2θ 40.37, I 25, hkl 2 0 2
2θ 40.63, I 100, hkl 3 0 1
2θ 47.85, I 28, hkl 2 2 2
2θ 56.29, I 18, hkl 2 1 3
2θ 62.34, I 27, hkl 3 0 3
2θ 63.63, I 25, hkl 3 3 2
2θ 72.24, I 29, hkl 5 2 1

***

4.
For La3Mg2Ag, a structure optimized by DFT (GGA-PBE) gives the calculated PXRD pattern in this record (a wavelength of 1.5418 Å).
Intensities are scaled so that the largest is 100.

Atomic structure:
abc: 3.941 3.941 11.571
angles: 90.00 90.00 90.00
Space group P4/mmm (No. 123)
Asymmetric unit:
La1 0.000 0.000 0.000
La2 0.000 0.000 0.341
Mg1 0.500 0.500 0.167
Ag1 0.500 0.500 0.500

Top 12 peaks for 2θ from 10° to 80°, sorted by position:
2θ 22.56, I 23, hkl 1 0 0
2θ 23.06, I 11, hkl 0 0 3
2θ 32.12, I 52, hkl 1 1 0
2θ 32.48, I 100, hkl 1 0 3
2θ 39.91, I 10, hkl 1 1 3
2θ 46.06, I 19, hkl 2 0 0
2θ 47.13, I 8, hkl 0 0 6
2θ 57.49, I 38, hkl 2 1 3
2θ 58.17, I 18, hkl 1 1 6
2θ 68.02, I 11, hkl 2 0 6
2θ 76.42, I 8, hkl 3 1 0
2θ 76.62, I 8, hkl 3 0 3